This entry pairs a crystal structure of Ac2La2PaIr4 with its computed powder XRD pattern. Radiation: CuKα. Structure: a cell relaxed with PBE.
Neutral-atom scattering factors, no anomalous dispersion.

```
data_Ac2La2PaIr4
_cell_length_a 7.7687
_cell_length_b 7.7687
_cell_length_c 9.4449
_cell_angle_alpha 120.51
_cell_angle_beta 120.51
_cell_angle_gamma 32.82
_space_group_name_H-M_alt 'P 1'
_space_group_IT_number 1
loop_
_space_group_symop_operation_xyz
'x,y,z'
loop_
_atom_site_label
_atom_site_type_symbol
_atom_site_fract_x
_atom_site_fract_y
_atom_site_fract_z
_atom_site_occupancy
Ac1 Ac 0.1637 0.1637 0.2918 1
Ac2 Ac 0.8363 0.8363 0.7082 1
La1 La 0.3702 0.3702 0.1352 1
La2 La 0.6298 0.6298 0.8648 1
Pa1 Pa 0.0000 0.0000 0.5000 1
Ir1 Ir 0.2043 0.2043 0.7498 1
Ir2 Ir 0.4066 0.4066 0.5451 1
Ir3 Ir 0.5934 0.5934 0.4549 1
Ir4 Ir 0.7957 0.7957 0.2502 1
```

The 10 most intense peaks (10° ≤ 2θ ≤ 90°), low angle first:
- 11.04°, I 74
- 29.33°, I 100
- 32.16°, I 52
- 35.26°, I 57
- 37.25°, I 41
- 41.17°, I 76
- 46.81°, I 15
- 49.03°, I 15
- 50.04°, I 16
- 53.14°, I 30



This entry pairs a crystal structure of AcCu3F8 with its computed powder XRD pattern. Radiation: CuKα. Structure: a cell relaxed with PBE.
Neutral-atom scattering factors, no anomalous dispersion.

```
data_AcCu3F8
_cell_length_a 4.8815
_cell_length_b 4.8815
_cell_length_c 7.3648
_cell_angle_alpha 90.00
_cell_angle_beta 90.00
_cell_angle_gamma 120.00
_space_group_name_H-M_alt 'P 1'
_space_group_IT_number 1
loop_
_space_group_symop_operation_xyz
'x,y,z'
loop_
_atom_site_label
_atom_site_type_symbol
_atom_site_fract_x
_atom_site_fract_y
_atom_site_fract_z
_atom_site_occupancy
Ac1 Ac 0.0000 0.0000 0.0000 1
Cu1 Cu 0.0000 0.0000 0.5000 1
Cu2 Cu 0.3333 0.6667 0.5000 1
Cu3 Cu 0.6667 0.3333 0.5000 1
F1 F 0.0000 0.3216 0.6762 1
F2 F 0.0000 0.6784 0.3238 1
F3 F 0.3216 0.0000 0.6762 1
F4 F 0.3216 0.3216 0.3238 1
F5 F 0.3333 0.6667 0.0000 1
F6 F 0.6667 0.3333 0.0000 1
F7 F 0.6784 0.0000 0.3238 1
F8 F 0.6784 0.6784 0.6762 1
```

The 10 most intense peaks (10° ≤ 2θ ≤ 90°), low angle first:
- 21.01°, I 49
- 24.17°, I 44
- 24.28°, I 64
- 32.24°, I 32
- 36.82°, I 48
- 42.59°, I 17
- 44.54°, I 100
- 63.27°, I 27
- 66.33°, I 15
- 83.45°, I 17



This entry pairs a crystal structure of Ac2Hg3Bi with its computed powder XRD pattern. Radiation: CuKα. Structure: a cell relaxed with PBE.
Neutral-atom scattering factors, no anomalous dispersion.

```
data_Ac2Hg3Bi
_cell_length_a 10.4618
_cell_length_b 9.8490
_cell_length_c 6.5864
_cell_angle_alpha 76.21
_cell_angle_beta 66.10
_cell_angle_gamma 37.69
_space_group_name_H-M_alt 'P 1'
_space_group_IT_number 1
loop_
_space_group_symop_operation_xyz
'x,y,z'
loop_
_atom_site_label
_atom_site_type_symbol
_atom_site_fract_x
_atom_site_fract_y
_atom_site_fract_z
_atom_site_occupancy
Ac1 Ac 0.2493 0.7507 0.7507 1
Ac2 Ac 0.2500 0.2500 0.2500 1
Ac3 Ac 0.7500 0.7500 0.7500 1
Ac4 Ac 0.7507 0.2493 0.2493 1
Hg1 Hg 0.1605 0.1605 0.8395 1
Hg2 Hg 0.1637 0.6742 0.3258 1
Hg3 Hg 0.3258 0.8363 0.1637 1
Hg4 Hg 0.6742 0.1637 0.8363 1
Hg5 Hg 0.8363 0.3258 0.6742 1
Hg6 Hg 0.8395 0.8395 0.1605 1
Bi1 Bi 0.3314 0.3314 0.6686 1
Bi2 Bi 0.6686 0.6686 0.3314 1
```

The 10 most intense peaks (10° ≤ 2θ ≤ 90°), low angle first:
- 30.00°, I 100
- 30.14°, I 49
- 33.94°, I 40
- 34.29°, I 77
- 46.01°, I 31
- 46.16°, I 17
- 46.38°, I 15
- 58.31°, I 16
- 58.52°, I 17
- 58.73°, I 49



This entry pairs a crystal structure of LaPr2Dy5 with its computed powder XRD pattern. Radiation: CuKα. Structure: a cell relaxed with PBE.
Neutral-atom scattering factors, no anomalous dispersion.

```
data_LaPr2Dy5
_cell_length_a 7.2119
_cell_length_b 14.4445
_cell_length_c 5.1220
_cell_angle_alpha 90.00
_cell_angle_beta 90.00
_cell_angle_gamma 90.00
_space_group_name_H-M_alt 'P 1'
_space_group_IT_number 1
loop_
_space_group_symop_operation_xyz
'x,y,z'
loop_
_atom_site_label
_atom_site_type_symbol
_atom_site_fract_x
_atom_site_fract_y
_atom_site_fract_z
_atom_site_occupancy
La1 La 0.0000 0.0000 0.0000 1
La2 La 0.5000 0.5000 0.0000 1
Pr1 Pr 0.2458 0.3737 0.5000 1
Pr2 Pr 0.2542 0.8737 0.5000 1
Pr3 Pr 0.7458 0.1263 0.5000 1
Pr4 Pr 0.7542 0.6263 0.5000 1
Dy1 Dy 0.0000 0.5000 0.0000 1
Dy2 Dy 0.0047 0.7479 0.0000 1
Dy3 Dy 0.2469 0.1260 0.5000 1
Dy4 Dy 0.2531 0.6260 0.5000 1
Dy5 Dy 0.4953 0.2479 0.0000 1
Dy6 Dy 0.5000 0.0000 0.0000 1
Dy7 Dy 0.5047 0.7521 0.0000 1
Dy8 Dy 0.7469 0.3740 0.5000 1
Dy9 Dy 0.7531 0.8740 0.5000 1
Dy10 Dy 0.9953 0.2521 0.0000 1
```

The 10 most intense peaks (10° ≤ 2θ ≤ 90°), low angle first:
- 30.30°, I 100
- 35.04°, I 17
- 35.17°, I 34
- 50.50°, I 30
- 50.63°, I 6
- 59.94°, I 14
- 60.11°, I 28
- 63.02°, I 12
- 82.19°, I 12
- 84.93°, I 8